No. 1
For B5C7, a cell relaxed with PBE gives the theoretical X-ray powder pattern in this record (Cu Kα (weighted mean of Kα1 and Kα2)).
Lines closer than 0.1° are merged.

Crystal structure
```
B5C7
1.0
3.8683 0.0000 0.0000
-1.9183 4.2144 0.0000
-0.0103 -1.4694 4.8643
B C
5 7
Direct
0.0000 0.0000 0.0000
0.0095 0.0139 0.5738
0.3440 0.9905 0.2571
0.6988 0.3323 0.8667
0.7250 0.3710 0.3794
0.3091 0.9923 0.7883
0.3726 0.6701 0.7006
0.3743 0.6519 0.1954
0.6089 0.6660 0.9499
0.6109 0.6764 0.4518
0.9820 0.3468 0.1266
0.9894 0.3568 0.6185
```

Top 10 peaks for 10° ≤ 2θ ≤ 80°, in order of rising 2θ:
2theta, Rel. int.
22.03, 7.6
25.56, 12.5
40.80, 44.4
40.93, 43.4
42.57, 100.0
69.96, 13.2
70.23, 23.7
70.62, 11.8
70.93, 12.0
74.73, 10.3

=====

No. 2
For BC9, a cell relaxed with PBE gives the theoretical X-ray powder pattern in this record (Cu Kα (weighted mean of Kα1 and Kα2)).
Lines closer than 0.1° are merged.

Crystal structure
```
BC9
1.0
-2.8460 2.8460 1.8178
2.8460 -2.8460 1.8178
2.8460 2.8460 -1.8178
B C
1 9
Direct
0.0000 0.0000 0.0000
0.0549 0.3620 0.8980
0.1981 0.3987 0.5984
0.2500 0.7500 0.5000
0.4003 0.8019 0.2006
0.4640 0.1570 0.1020
0.6013 0.1997 0.7994
0.6380 0.5360 0.6929
0.8003 0.5997 0.4016
0.8430 0.9451 0.3071
```

Top 5 peaks for 10° ≤ 2θ ≤ 80°, in order of rising 2θ:
2theta, Rel. int.
22.08, 1.2
29.15, 1.1
43.39, 100.0
74.13, 26.0
74.56, 12.8

=====

No. 3
For BC, a cell relaxed with PBE gives the theoretical X-ray powder pattern in this record (Cu Kα (weighted mean of Kα1 and Kα2)).
Lines closer than 0.1° are merged.

Crystal structure
```
BC
1.0
4.3789 0.0000 0.0000
0.0000 4.3789 0.0000
0.0000 0.0000 2.7578
B C
4 4
Direct
0.2376 0.2376 0.0000
0.2624 0.7376 0.5000
0.7376 0.2624 0.5000
0.7624 0.7624 0.0000
0.1332 0.8668 0.0000
0.3668 0.3668 0.5000
0.6332 0.6332 0.5000
0.8668 0.1332 0.0000
```

Top 10 peaks for 10° ≤ 2θ ≤ 80°, in order of rising 2θ:
2theta, Rel. int.
28.83, 54.5
38.58, 100.0
41.23, 53.3
46.37, 35.3
59.73, 10.6
67.98, 17.3
69.65, 17.6
73.39, 16.0
77.07, 44.7
78.80, 6.6

=====

No. 4
For B3C7, a cell relaxed with PBE gives the theoretical X-ray powder pattern in this record (Cu Kα (weighted mean of Kα1 and Kα2)).
Lines closer than 0.1° are merged.

Crystal structure
```
B3C7
1.0
4.2024 -1.2947 0.0000
4.2024 1.2947 0.0000
-2.6625 0.0000 5.8193
B C
3 7
Direct
0.0000 0.0000 0.0000
0.0112 0.0112 0.3260
0.8135 0.8135 0.4711
0.2089 0.2089 0.8225
0.2102 0.2102 0.0715
0.3987 0.3987 0.8605
0.4238 0.4238 0.6430
0.6149 0.6149 0.6859
0.6159 0.6159 0.4422
0.8048 0.8048 0.1914
```

Top 10 peaks for 10° ≤ 2θ ≤ 80°, in order of rising 2θ:
2theta, Rel. int.
15.23, 18.9
21.88, 7.9
32.96, 5.2
41.84, 100.0
42.60, 54.1
43.26, 41.8
70.75, 22.3
71.70, 27.0
73.09, 13.4
76.14, 9.8

=====

No. 5
For B3C2, a cell relaxed with PBE gives the theoretical X-ray powder pattern in this record (Cu Kα (weighted mean of Kα1 and Kα2)).
Lines closer than 0.1° are merged.

Crystal structure
```
B3C2
1.0
1.3081 0.7553 14.9248
-1.3081 0.7553 14.9248
0.0000 -1.5105 14.9248
B C
6 4
Direct
0.0187 0.0187 0.0187
0.2534 0.2534 0.2534
0.3751 0.3751 0.3751
0.6249 0.6249 0.6249
0.7466 0.7466 0.7466
0.9813 0.9813 0.9813
0.1667 0.1667 0.1667
0.4104 0.4104 0.4104
0.5896 0.5896 0.5896
0.8333 0.8333 0.8333
```

Top 10 peaks for 10° ≤ 2θ ≤ 80°, in order of rising 2θ:
2theta, Rel. int.
17.83, 100.0
23.85, 62.4
29.93, 5.9
41.09, 46.4
42.35, 20.2
43.07, 9.5
48.82, 6.4
49.29, 6.2
68.43, 6.2
72.22, 16.9

=====

No. 6
For B3C2, a cell relaxed with PBE gives the theoretical X-ray powder pattern in this record (Cu Kα (weighted mean of Kα1 and Kα2)).
Lines closer than 0.1° are merged.

Crystal structure
```
B3C2
1.0
1.3332 0.7697 13.0089
-1.3332 0.7697 13.0089
0.0000 -1.5394 13.0089
B C
6 4
Direct
0.0000 0.0000 0.0000
0.0998 0.0998 0.0998
0.2635 0.2635 0.2635
0.4803 0.4803 0.4803
0.6226 0.6226 0.6226
0.8720 0.8720 0.8720
0.2239 0.2239 0.2239
0.4372 0.4372 0.4372
0.6633 0.6633 0.6633
0.8314 0.8314 0.8314
```

Top 10 peaks for 10° ≤ 2θ ≤ 80°, in order of rising 2θ:
2theta, Rel. int.
13.61, 85.1
20.48, 58.9
27.42, 12.4
34.47, 6.9
40.75, 100.0
41.66, 25.8
42.37, 6.2
43.35, 17.8
68.64, 21.2
70.66, 31.0

=====

No. 7
For B3C, a cell relaxed with PBE gives the theoretical X-ray powder pattern in this record (Cu Kα (weighted mean of Kα1 and Kα2)).
Lines closer than 0.1° are merged.

Crystal structure
```
B3C
1.0
4.7758 0.0000 0.0000
0.0000 2.7600 0.0000
-1.0298 0.0000 7.5188
B C
9 3
Direct
0.0000 0.0000 0.0000
0.0064 0.5000 0.6465
0.1587 0.5000 0.8638
0.3071 0.5000 0.5430
0.3875 0.0000 0.2666
0.4351 0.5000 0.0135
0.7450 0.0000 0.5944
0.8765 0.5000 0.2192
0.9451 0.0000 0.7880
0.0401 0.0000 0.2028
0.4436 0.0000 0.5016
0.5478 0.5000 0.2020
```

Top 10 peaks for 10° ≤ 2θ ≤ 80°, in order of rising 2θ:
2theta, Rel. int.
11.77, 34.8
18.75, 22.3
20.78, 54.9
23.54, 36.9
23.67, 38.7
28.24, 47.0
35.83, 36.6
38.04, 24.9
38.84, 100.0
68.14, 21.0

=====

No. 8
For B5C7, a cell relaxed with PBE gives the theoretical X-ray powder pattern in this record (Cu Kα (weighted mean of Kα1 and Kα2)).
Lines closer than 0.1° are merged.

Crystal structure
```
B5C7
1.0
4.4804 0.0000 0.0000
1.4958 4.3577 0.0000
0.9971 2.0071 4.0393
B C
5 7
Direct
0.0000 0.0000 0.0000
0.0366 0.2570 0.3496
0.1723 0.5735 0.9403
0.5423 0.3883 0.0530
0.6250 0.7512 0.6517
0.0152 0.6102 0.6490
0.1548 0.8764 0.3412
0.1588 0.2402 0.6711
0.5128 0.7647 0.3210
0.5188 0.1176 0.6682
0.6364 0.0339 0.0062
0.6543 0.3943 0.3538
```

Top 10 peaks for 10° ≤ 2θ ≤ 80°, in order of rising 2θ:
2theta, Rel. int.
40.94, 86.8
41.48, 100.0
42.05, 91.1
42.79, 78.4
69.86, 22.4
69.97, 22.3
70.27, 23.8
71.28, 21.0
71.68, 21.5
74.65, 21.3

=====

No. 9
For B5C7, a cell relaxed with PBE gives the theoretical X-ray powder pattern in this record (Cu Kα (weighted mean of Kα1 and Kα2)).
Lines closer than 0.1° are merged.

Crystal structure
```
B5C7
1.0
4.2392 -1.3256 0.0000
4.2392 1.3256 0.0000
-3.6528 0.0000 7.0558
B C
5 7
Direct
0.0000 0.0000 0.0000
0.1328 0.1328 0.2521
0.2753 0.2753 0.1213
0.5165 0.5165 0.4455
0.6687 0.6687 0.8539
0.1664 0.1664 0.7199
0.3283 0.3283 0.6860
0.4915 0.4915 0.8759
0.6585 0.6585 0.3733
0.8259 0.8259 0.5677
0.8479 0.8479 0.0817
0.9901 0.9901 0.5377
```

Top 10 peaks for 10° ≤ 2θ ≤ 80°, in order of rising 2θ:
2theta, Rel. int.
12.55, 48.7
34.44, 10.4
40.92, 100.0
42.41, 53.7
42.81, 42.0
48.95, 7.3
69.78, 21.2
70.36, 23.7
71.12, 15.5
75.81, 8.1

=====

No. 10
For B5C7, a cell relaxed with PBE gives the theoretical X-ray powder pattern in this record (Cu Kα (weighted mean of Kα1 and Kα2)).
Lines closer than 0.1° are merged.

Crystal structure
```
B5C7
1.0
2.6578 0.0000 0.0000
-1.3289 2.3018 0.0000
0.0000 0.0000 16.4705
B C
5 7
Direct
0.0000 0.0000 0.0000
0.0000 0.0000 0.2444
0.3333 0.6667 0.4830
0.6667 0.3333 0.5931
0.6667 0.3333 0.8899
0.0000 0.0000 0.6339
0.0000 0.0000 0.7243
0.3333 0.6667 0.2444
0.3333 0.6667 0.7587
0.3333 0.6667 0.8491
0.6667 0.3333 0.4928
0.6667 0.3333 0.9902
```

Top 10 peaks for 10° ≤ 2θ ≤ 80°, in order of rising 2θ:
2theta, Rel. int.
16.14, 59.5
21.58, 100.0
27.07, 17.8
40.70, 83.7
42.59, 48.2
43.98, 37.3
70.28, 19.2
70.92, 32.0
75.12, 7.1
75.79, 9.2

=====

No. 11
For B5C7, a cell relaxed with PBE gives the theoretical X-ray powder pattern in this record (Cu Kα (weighted mean of Kα1 and Kα2)).
Lines closer than 0.1° are merged.

Crystal structure
```
B5C7
1.0
4.3820 -1.2423 0.0000
4.3820 1.2423 0.0000
-3.6944 0.0000 7.2245
B C
5 7
Direct
0.0000 0.0000 0.0000
0.2882 0.2882 0.1154
0.4942 0.4942 0.8353
0.5032 0.5032 0.3646
0.9862 0.9862 0.5081
0.1656 0.1656 0.6997
0.1721 0.1721 0.2187
0.3172 0.3172 0.6420
0.6603 0.6603 0.3172
0.6698 0.6698 0.8092
0.8139 0.8139 0.5338
0.8183 0.8183 0.0087
```

Top 10 peaks for 10° ≤ 2θ ≤ 80°, in order of rising 2θ:
2theta, Rel. int.
12.25, 13.5
22.79, 24.3
24.82, 10.3
41.06, 61.5
41.40, 49.6
42.67, 100.0
69.71, 26.0
70.18, 27.9
72.71, 11.5
76.71, 13.2

=====

No. 12
For B5C7, a cell relaxed with PBE gives the theoretical X-ray powder pattern in this record (Cu Kα (weighted mean of Kα1 and Kα2)).
Lines closer than 0.1° are merged.

Crystal structure
```
B5C7
1.0
3.6380 0.0000 0.0000
-1.7937 4.3394 0.0000
-0.3032 -1.9100 5.0170
B C
5 7
Direct
0.0000 0.0000 0.0000
0.0202 0.9223 0.4850
0.3920 0.7091 0.6710
0.5176 0.6110 0.9266
0.9185 0.3706 0.6368
0.2558 0.9805 0.2526
0.2588 0.0181 0.7674
0.3102 0.6363 0.1848
0.5820 0.6358 0.4118
0.6636 0.3117 0.3401
0.6656 0.3081 0.8581
0.9044 0.3285 0.1073
```

Top 10 peaks for 10° ≤ 2θ ≤ 80°, in order of rising 2θ:
2theta, Rel. int.
22.77, 25.1
40.67, 74.7
41.33, 100.0
41.96, 80.1
43.07, 72.6
69.58, 38.2
70.22, 22.3
70.70, 18.4
72.10, 20.4
74.93, 18.4

=====

No. 13
For B3C7, a cell relaxed with PBE gives the theoretical X-ray powder pattern in this record (Cu Kα (weighted mean of Kα1 and Kα2)).
Lines closer than 0.1° are merged.

Crystal structure
```
B3C7
1.0
1.2875 0.7433 10.9764
-1.2875 0.7433 10.9764
0.0000 -1.4867 10.9764
B C
3 7
Direct
0.0000 0.0000 0.0000
0.2006 0.2006 0.2006
0.7977 0.7977 0.7977
0.1526 0.1526 0.1526
0.3533 0.3533 0.3533
0.3996 0.3996 0.3996
0.5557 0.5557 0.5557
0.6012 0.6012 0.6012
0.7485 0.7485 0.7485
0.9506 0.9506 0.9506
```

Top 8 peaks for 10° ≤ 2θ ≤ 80°, in order of rising 2θ:
2theta, Rel. int.
16.15, 5.5
24.33, 2.1
41.12, 27.9
41.97, 0.6
42.81, 100.0
49.36, 1.0
71.19, 25.2
73.56, 24.7